Theoretical powder diffractogram
Compound: KMg14Cr
Radiation: CuKα
Structure: a structure optimized by DFT (GGA-PBE)
No peak broadening, texture or thermal motion is included.

Cell lengths 6.4777, 6.4777, 10.5772 Å; angles 90.00, 90.00, 120.00 degrees
Space group P-6m2 (No. 187)
One atom of each set of equivalent atoms:
K: 0.0000 0.0000 0.0000 (multiplicity 1)
Mg: 0.0095 0.5048 0.0000 (multiplicity 3)
Mg: 0.1672 0.3344 0.2674 (multiplicity 6)
Mg: 0.5033 0.0065 0.5000 (multiplicity 3)
Mg: 0.6667 0.3333 0.2410 (multiplicity 2)
Cr: 0.0000 0.0000 0.5000 (multiplicity 1)

Most intense lines, 2θ from 10° to 90°, low angle first:
| h k l | two_theta | d_spacing | Rel. int. |
| --- | --- | --- | --- |
| 1 0 0 | 15.80 | 5.610 | 5 |
| 2 0 0 | 31.91 | 2.805 | 25 |
| 0 0 4 | 33.90 | 2.644 | 25 |
| 2 0 2 | 36.25 | 2.478 | 100 |
| 2 0 4 | 47.24 | 1.924 | 15 |
| 2 2 0 | 56.85 | 1.619 | 17 |
| 2 0 6 | 62.20 | 1.493 | 17 |
| 2 2 4 | 67.87 | 1.381 | 18 |
| 4 0 2 | 69.32 | 1.356 | 13 |
| 4 0 6 | 89.24 | 1.098 | 6 |